Entry 1:
Starting from a DFT-relaxed cell (PBE, Alexandria), the powder XRD pattern of Er3CuSiS7 was calculated for Cu Ka.
Intensities are scaled so that the largest is 100.

Atomic structure:
```
data_Er3CuSiS7
_symmetry_space_group_name_H-M 'P 63'
_symmetry_Int_Tables_number 173
_symmetry_space_group_name_Hall 'P 6c'
_cell_length_a 9.8117
_cell_length_b 9.8117
_cell_length_c 5.7023
_cell_angle_alpha 90.00
_cell_angle_beta 90.00
_cell_angle_gamma 120.00
loop_
_atom_site_label
_atom_site_fract_x
_atom_site_fract_y
_atom_site_fract_z
Er1 0.1311 0.3575 0.0000
Cu1 0.0000 0.0000 0.4466
Si1 0.3333 0.6667 0.5887
S1 0.0976 0.2600 0.4663
S2 0.1047 0.5819 0.7402
S3 0.3333 0.6667 0.2177
```

Top 10 peaks for 5 to 70 degrees two-theta, by angle:
| 2theta | I/Imax | h k l |
| --- | --- | --- |
| 18.74 | 32 | 1 0 1 |
| 23.93 | 33 | 1 1 1 |
| 26.16 | 100 | 2 0 1 |
| 27.78 | 35 | 1 2 0 |
| 31.37 | 28 | 0 0 2 |
| 36.64 | 44 | 2 2 0 |
| 38.19 | 40 | 1 3 0 |
| 41.46 | 40 | 3 1 1 |
| 42.39 | 43 | 1 2 2 |
| 48.99 | 24 | 2 2 2 |

Entry 2:
Starting from a DFT-relaxed cell (PBE, Alexandria), the powder XRD pattern of SmErCu2S4 was calculated for Cu Ka.
Intensities are scaled so that the largest is 100.

Atomic structure:
```
data_SmErCu2S4
_symmetry_space_group_name_H-M 'I 2 2 2'
_symmetry_Int_Tables_number 23
_symmetry_space_group_name_Hall 'I 2 2'
_cell_length_a 6.482
_cell_length_b 6.594
_cell_length_c 7.662
_cell_angle_alpha 90.00
_cell_angle_beta 90.00
_cell_angle_gamma 90.00
loop_
_atom_site_label
_atom_site_fract_x
_atom_site_fract_y
_atom_site_fract_z
Sm1 0.000 0.000 0.000
Er1 0.000 0.000 0.500
Cu1 0.000 0.500 0.167
S1 0.247 0.230 0.311
```

Top 10 peaks for 5 to 70 degrees two-theta, by angle:
| 2theta | I/Imax | h k l |
| --- | --- | --- |
| 19.20 | 30 | 1 1 0 |
| 27.04 | 22 | 0 2 0 |
| 27.52 | 20 | 2 0 0 |
| 30.30 | 100 | 1 1 2 |
| 35.94 | 23 | 0 2 2 |
| 36.31 | 23 | 2 0 2 |
| 38.97 | 54 | 2 2 0 |
| 49.86 | 25 | 1 3 2 |
| 50.43 | 24 | 3 1 2 |
| 51.65 | 24 | 1 1 4 |